1.
This entry pairs a crystal structure of SrPb2Au9 with its theoretical X-ray diffraction stick pattern. Radiation: a wavelength of 1.5418 Å. Structure: a DFT-relaxed cell (GGA-PBE, Alexandria).
Kinematic intensities with the Lorentz-polarization factor, no thermal factor.

Crystal structure
Unit cell a=5.792 b=5.792 c=18.270 alpha=90.00 beta=90.00 gamma=120.00
Sites, in units of the cell vectors:
Sr 0.333 0.667 0.250
Sr 0.667 0.333 0.750
Pb 0.333 0.667 0.034
Pb 0.333 0.667 0.466
Pb 0.667 0.333 0.534
Pb 0.667 0.333 0.966
Au 0.000 0.000 0.000
Au 0.000 0.000 0.250
Au 0.000 0.000 0.500
Au 0.000 0.000 0.750
Au 0.168 0.337 0.624
Au 0.168 0.337 0.876
Au 0.168 0.832 0.624
Au 0.168 0.832 0.876
Au 0.333 0.667 0.750
Au 0.337 0.168 0.124
Au 0.337 0.168 0.376
Au 0.663 0.832 0.624
Au 0.663 0.832 0.876
Au 0.667 0.333 0.250
Au 0.832 0.168 0.124
Au 0.832 0.168 0.376
Au 0.832 0.663 0.124
Au 0.832 0.663 0.376

Largest 12 diffraction maxima, in order of rising 2θ, 10 to 80 degrees two-theta:
two_theta  I (rel.)
18.34  21
30.26  19
30.88  21
36.15  28
36.75  100
38.85  77
39.46  25
41.06  21
58.81  26
64.34  29
77.78  14
78.16  21

=====

2.
This entry pairs a crystal structure of SrPbAu5 with its theoretical X-ray diffraction stick pattern. Radiation: a wavelength of 1.5418 Å. Structure: a DFT-relaxed cell (GGA-PBE, Alexandria).
Kinematic intensities with the Lorentz-polarization factor, no thermal factor.

Crystal structure
Unit cell a=9.478 b=5.791 c=11.587 alpha=90.00 beta=90.00 gamma=90.00
Sites, in units of the cell vectors:
Sr 0.248 0.250 0.057
Sr 0.252 0.750 0.557
Sr 0.748 0.250 0.443
Sr 0.752 0.750 0.943
Pb 0.136 0.750 0.854
Pb 0.364 0.250 0.354
Pb 0.636 0.750 0.646
Pb 0.864 0.250 0.146
Au 0.072 0.750 0.090
Au 0.078 0.004 0.308
Au 0.078 0.496 0.308
Au 0.084 0.250 0.520
Au 0.174 0.250 0.756
Au 0.326 0.750 0.256
Au 0.416 0.750 0.020
Au 0.422 0.504 0.808
Au 0.422 0.996 0.808
Au 0.428 0.250 0.590
Au 0.572 0.750 0.410
Au 0.578 0.004 0.192
Au 0.578 0.496 0.192
Au 0.584 0.250 0.980
Au 0.674 0.250 0.744
Au 0.826 0.750 0.244
Au 0.916 0.750 0.480
Au 0.922 0.504 0.692
Au 0.922 0.996 0.692
Au 0.928 0.250 0.910

Largest 12 diffraction maxima, in order of rising 2θ, 10 to 80 degrees two-theta:
two_theta  I (rel.)
19.53  30
32.31  40
33.22  81
33.70  34
37.21  64
38.79  38
39.65  81
40.06  100
42.33  25
64.31  32
69.73  24
77.73  24

=====

3.
This entry pairs a crystal structure of SrZn2PbAu5 with its theoretical X-ray diffraction stick pattern. Radiation: a wavelength of 1.5418 Å. Structure: a DFT-relaxed cell (GGA-PBE, Alexandria).
Kinematic intensities with the Lorentz-polarization factor, no thermal factor.

Crystal structure
Unit cell a=4.924 b=4.924 c=8.099 alpha=90.00 beta=90.00 gamma=90.00
Sites, in units of the cell vectors:
Sr 0.000 0.000 0.000
Zn 0.500 0.500 0.344
Zn 0.500 0.500 0.656
Pb 0.000 0.000 0.500
Au 0.000 0.500 0.246
Au 0.000 0.500 0.754
Au 0.500 0.000 0.246
Au 0.500 0.000 0.754
Au 0.500 0.500 0.000

Largest 12 diffraction maxima, in order of rising 2θ, 10 to 80 degrees two-theta:
two_theta  I (rel.)
21.11  11
33.95  100
36.49  56
38.01  10
44.76  11
52.56  20
53.71  8
59.07  19
64.06  33
71.46  11
75.54  13
77.54  6

=====

4.
This entry pairs a crystal structure of Te4Pb5Au with its theoretical X-ray diffraction stick pattern. Radiation: a wavelength of 1.5418 Å. Structure: a DFT-relaxed cell (GGA-PBE, Alexandria).
Kinematic intensities with the Lorentz-polarization factor, no thermal factor.

Crystal structure
Unit cell a=16.368 b=16.368 c=16.368 alpha=163.96 beta=163.96 gamma=22.76
Sites, in units of the cell vectors:
Te 0.101 0.101 0.000
Te 0.304 0.304 0.000
Te 0.696 0.696 0.000
Te 0.899 0.899 0.000
Pb 0.000 0.000 0.000
Pb 0.201 0.201 0.000
Pb 0.407 0.407 0.000
Pb 0.593 0.593 0.000
Pb 0.799 0.799 0.000
Au 0.500 0.500 0.000

Largest 12 diffraction maxima, in order of rising 2θ, 10 to 80 degrees two-theta:
two_theta  I (rel.)
23.91  9
27.62  100
27.80  47
39.46  39
39.59  74
48.96  41
57.04  14
57.43  6
64.57  37
64.89  15
71.66  26
71.92  11

=====

5.
This entry pairs a crystal structure of Th2PbAu4 with its theoretical X-ray diffraction stick pattern. Radiation: a wavelength of 1.5418 Å. Structure: a DFT-relaxed cell (GGA-PBE, Alexandria).
Kinematic intensities with the Lorentz-polarization factor, no thermal factor.

Crystal structure
Unit cell a=8.906 b=8.906 c=8.906 alpha=32.65 beta=32.65 gamma=32.65
Sites, in units of the cell vectors:
Th 0.249 0.249 0.249
Th 0.751 0.751 0.751
Pb 0.000 0.000 0.000
Au 0.130 0.130 0.130
Au 0.382 0.382 0.382
Au 0.618 0.618 0.618
Au 0.870 0.870 0.870

Largest 12 diffraction maxima, in order of rising 2θ, 10 to 80 degrees two-theta:
two_theta  I (rel.)
20.78  6
21.67  9
27.10  10
32.27  8
35.15  100
35.87  100
51.10  35
62.59  16
64.00  36
64.46  21
74.30  10
76.02  14

=====

6.
This entry pairs a crystal structure of Th2PbAu3 with its theoretical X-ray diffraction stick pattern. Radiation: a wavelength of 1.5418 Å. Structure: a DFT-relaxed cell (GGA-PBE, Alexandria).
Kinematic intensities with the Lorentz-polarization factor, no thermal factor.

Crystal structure
Unit cell a=9.906 b=9.906 c=9.906 alpha=159.18 beta=152.59 gamma=34.67
Sites, in units of the cell vectors:
Th 0.000 0.000 0.000
Th 0.710 0.210 0.500
Pb 0.405 0.405 0.000
Au 0.142 0.642 0.500
Au 0.287 0.787 0.500
Au 0.565 0.565 0.000

Largest 12 diffraction maxima, in order of rising 2θ, 10 to 80 degrees two-theta:
two_theta  I (rel.)
23.63  15
32.86  100
34.49  52
38.41  90
42.80  10
50.35  10
51.02  15
52.52  32
65.63  38
65.89  14
67.99  13
69.41  10

=====

7.
This entry pairs a crystal structure of TiPbAu with its theoretical X-ray diffraction stick pattern. Radiation: a wavelength of 1.5418 Å. Structure: a DFT-relaxed cell (GGA-PBE, Alexandria).
Kinematic intensities with the Lorentz-polarization factor, no thermal factor.

Crystal structure
Unit cell a=3.192 b=5.495 c=7.895 alpha=77.29 beta=89.76 gamma=73.16
Sites, in units of the cell vectors:
Ti 0.139 0.224 0.453
Ti 0.861 0.776 0.547
Pb 0.341 0.811 0.870
Pb 0.659 0.189 0.130
Au 0.415 0.675 0.287
Au 0.585 0.325 0.713

Largest 12 diffraction maxima, in order of rising 2θ, 10 to 80 degrees two-theta:
two_theta  I (rel.)
23.14  27
25.60  25
29.30  88
32.16  58
34.29  40
35.05  44
35.41  74
38.57  100
38.86  59
39.03  57
42.07  22
57.76  21

=====

8.
This entry pairs a crystal structure of TiPb2Au with its theoretical X-ray diffraction stick pattern. Radiation: a wavelength of 1.5418 Å. Structure: a DFT-relaxed cell (GGA-PBE, Alexandria).
Kinematic intensities with the Lorentz-polarization factor, no thermal factor.

Crystal structure
Unit cell a=5.095 b=5.095 c=5.095 alpha=60.00 beta=60.00 gamma=60.00
Sites, in units of the cell vectors:
Ti 0.000 0.000 0.000
Pb 0.250 0.250 0.250
Pb 0.750 0.750 0.750
Au 0.500 0.500 0.500

Largest 12 diffraction maxima, in order of rising 2θ, 10 to 80 degrees two-theta:
two_theta  I (rel.)
21.36  12
24.71  7
35.23  100
41.57  7
43.51  2
50.68  18
55.60  3
57.17  3
63.22  37
67.55  2
74.49  12
78.54  2

=====

9.
This entry pairs a crystal structure of Tl3PbAu4 with its theoretical X-ray diffraction stick pattern. Radiation: a wavelength of 1.5418 Å. Structure: a DFT-relaxed cell (GGA-PBE, Alexandria).
Kinematic intensities with the Lorentz-polarization factor, no thermal factor.

Crystal structure
Unit cell a=7.035 b=7.035 c=6.190 alpha=114.50 beta=114.50 gamma=50.63
Sites, in units of the cell vectors:
Tl 0.000 0.000 0.000
Tl 0.000 0.403 0.643
Tl 0.597 0.000 0.357
Pb 0.209 0.791 0.500
Au 0.072 0.416 0.206
Au 0.432 0.409 0.093
Au 0.584 0.928 0.794
Au 0.591 0.568 0.907

Largest 12 diffraction maxima, in order of rising 2θ, 10 to 80 degrees two-theta:
two_theta  I (rel.)
27.33  22
27.94  34
28.86  36
31.67  24
33.30  23
33.46  20
33.75  100
33.97  49
38.47  24
40.04  28
41.89  22
42.70  38

=====

10.
This entry pairs a crystal structure of TlPb2Au with its theoretical X-ray diffraction stick pattern. Radiation: a wavelength of 1.5418 Å. Structure: a DFT-relaxed cell (GGA-PBE, Alexandria).
Kinematic intensities with the Lorentz-polarization factor, no thermal factor.

Crystal structure
Unit cell a=6.382 b=6.382 c=8.290 alpha=90.00 beta=90.00 gamma=136.85
Sites, in units of the cell vectors:
Tl 0.067 0.933 0.750
Tl 0.933 0.067 0.250
Pb 0.359 0.641 0.544
Pb 0.359 0.641 0.956
Pb 0.641 0.359 0.044
Pb 0.641 0.359 0.456
Au 0.210 0.790 0.250
Au 0.790 0.210 0.750

Largest 12 diffraction maxima, in order of rising 2θ, 10 to 80 degrees two-theta:
two_theta  I (rel.)
29.53  20
29.72  100
31.48  63
32.03  34
35.85  18
36.78  41
37.26  23
38.35  41
38.56  29
50.81  19
54.57  30
57.80  29

=====

11.
This entry pairs a crystal structure of Tl16Pb12Au with its theoretical X-ray diffraction stick pattern. Radiation: a wavelength of 1.5418 Å. Structure: a DFT-relaxed cell (GGA-PBE, Alexandria).
Kinematic intensities with the Lorentz-polarization factor, no thermal factor.

Crystal structure
Unit cell a=10.711 b=10.711 c=10.407 alpha=109.18 beta=109.18 gamma=110.70
Sites, in units of the cell vectors:
Tl 0.000 0.000 0.000
Tl 0.003 0.343 0.634
Tl 0.006 0.006 0.644
Tl 0.010 0.320 0.239
Tl 0.014 0.589 0.950
Tl 0.282 0.693 0.334
Tl 0.308 0.602 0.645
Tl 0.320 0.010 0.239
Tl 0.343 0.003 0.634
Tl 0.410 0.410 0.367
Tl 0.412 0.733 0.045
Tl 0.589 0.014 0.950
Tl 0.602 0.308 0.645
Tl 0.650 0.650 0.289
Tl 0.693 0.282 0.334
Tl 0.733 0.412 0.045
Pb 0.189 0.832 0.836
Pb 0.191 0.191 0.461
Pb 0.205 0.389 0.018
Pb 0.389 0.205 0.018
Pb 0.422 0.422 0.840
Pb 0.627 0.807 0.656
Pb 0.630 0.993 0.447
Pb 0.802 0.987 0.240
Pb 0.807 0.627 0.656
Pb 0.832 0.189 0.836
Pb 0.987 0.802 0.240
Pb 0.993 0.630 0.447
Au 0.710 0.710 0.924

Largest 12 diffraction maxima, in order of rising 2θ, 10 to 80 degrees two-theta:
two_theta  I (rel.)
29.21  30
30.43  23
30.77  100
31.04  84
31.16  71
31.25  75
31.35  65
33.88  39
34.11  34
34.65  25
34.96  23
54.61  25

=====

12.
This entry pairs a crystal structure of Tl4PbAu5 with its theoretical X-ray diffraction stick pattern. Radiation: a wavelength of 1.5418 Å. Structure: a DFT-relaxed cell (GGA-PBE, Alexandria).
Kinematic intensities with the Lorentz-polarization factor, no thermal factor.

Crystal structure
Unit cell a=5.888 b=6.163 c=7.556 alpha=91.26 beta=107.67 gamma=105.69
Sites, in units of the cell vectors:
Tl 0.000 0.000 0.000
Tl 0.050 0.270 0.433
Tl 0.304 0.834 0.703
Tl 0.688 0.397 0.703
Pb 0.607 0.669 0.204
Au 0.047 0.555 0.129
Au 0.245 0.397 0.851
Au 0.385 0.012 0.358
Au 0.591 0.163 0.066
Au 0.785 0.870 0.596

Largest 12 diffraction maxima, in order of rising 2θ, 10 to 80 degrees two-theta:
two_theta  I (rel.)
30.40  27
30.67  39
31.28  45
31.47  100
32.38  28
34.21  28
34.31  41
38.05  38
38.22  36
38.93  45
39.11  36
39.46  44

=====

13.
This entry pairs a crystal structure of TlPb2Au with its theoretical X-ray diffraction stick pattern. Radiation: a wavelength of 1.5418 Å. Structure: a DFT-relaxed cell (GGA-PBE, Alexandria).
Kinematic intensities with the Lorentz-polarization factor, no thermal factor.

Crystal structure
Unit cell a=7.767 b=7.767 c=7.767 alpha=33.18 beta=33.18 gamma=33.18
Sites, in units of the cell vectors:
Tl 0.000 0.000 0.000
Pb 0.561 0.561 0.561
Pb 0.770 0.770 0.770
Au 0.165 0.165 0.165

Largest 12 diffraction maxima, in order of rising 2θ, 10 to 80 degrees two-theta:
two_theta  I (rel.)
12.07  13
23.51  12
24.55  25
28.34  23
30.90  100
36.96  19
40.34  12
40.69  61
47.64  16
51.95  24
68.00  22
74.04  11